# Li2AsW
Calculated PXRD pattern, Cu Kα, 1.54184 Å. Input: the GGA-PBE geometry in Alexandria.

Main lines, low angle first (10° ≤ 2θ ≤ 90°):
2θ = 15.38°, d = 5.760 Å, I 100; 2θ = 27.25°, d = 3.273 Å, I 12; 2θ = 31.44°, d = 2.846 Å, I 45; 2θ = 38.91°, d = 2.314 Å, I 33; 2θ = 41.78°, d = 2.162 Å, I 50; 2θ = 42.08°, d = 2.147 Å, I 33; 2θ = 55.49°, d = 1.656 Å, I 19; 2θ = 58.64°, d = 1.574 Å, I 12; 2θ = 72.43°, d = 1.305 Å, I 20; 2θ = 82.95°, d = 1.164 Å, I 12

Structure:
```
4
Lattice="3.2730 0.0000 0.0000 0.0000 3.2730 0.0000 0.0000 0.0000 5.7597" Properties=species:S:1:pos:R:3 pbc="T T T"
Li 0.0000 0.0000 0.0000
Li 1.6365 1.6365 1.3664
As 1.6365 1.6365 4.0947
W 0.0000 0.0000 2.9489
```